(1)
For Cs2KInI6, a structure optimized by DFT (PBE) gives the calculated X-ray diffraction stick pattern in this record (copper Kα).

Structural model:
Lattice parameters (Å, degrees): 8.584 12.692 9.563 90.00 90.00 90.00
Atoms (fractional coordinates):
Cs (0.250, 0.029, 0.199)
Cs (0.250, 0.471, 0.199)
Cs (0.750, 0.529, 0.801)
Cs (0.750, 0.971, 0.801)
K (0.250, 0.250, 0.711)
K (0.750, 0.750, 0.289)
In (0.250, 0.750, 0.782)
In (0.750, 0.250, 0.218)
I (0.001, 0.750, 0.572)
I (0.012, 0.750, 0.009)
I (0.250, 0.517, 0.787)
I (0.250, 0.983, 0.787)
I (0.488, 0.750, 0.009)
I (0.499, 0.750, 0.572)
I (0.501, 0.250, 0.428)
I (0.512, 0.250, 0.991)
I (0.750, 0.017, 0.213)
I (0.750, 0.483, 0.213)
I (0.988, 0.250, 0.991)
I (0.999, 0.250, 0.428)

Largest 8 diffraction maxima, most intense first, 2θ = 10–80°:
- d = 3.194 Å, intensity 100
- d = 3.555 Å, intensity 92
- d = 3.819 Å, intensity 73
- d = 3.172 Å, intensity 66
- d = 2.251 Å, intensity 63
- d = 7.638 Å, intensity 45
- d = 1.871 Å, intensity 25
- d = 1.778 Å, intensity 24

(2)
For NaEr2Hf, a structure optimized by DFT (PBE) gives the calculated X-ray diffraction stick pattern in this record (copper Kα).

Structural model:
Lattice parameters (Å, degrees): 3.361 3.361 10.357 90.00 90.00 90.00
Atoms (fractional coordinates):
Na (0.000, 0.000, 0.000)
Er (0.500, 0.500, 0.286)
Er (0.500, 0.500, 0.714)
Hf (0.000, 0.000, 0.500)

Largest 8 diffraction maxima, most intense first, 2θ = 10–80°:
- d = 2.819 Å, intensity 100
- d = 2.376 Å, intensity 35
- d = 2.408 Å, intensity 34
- d = 1.443 Å, intensity 26
- d = 1.751 Å, intensity 16
- d = 1.561 Å, intensity 14
- d = 2.589 Å, intensity 13
- d = 1.680 Å, intensity 12

(3)
For MnSeSN, a structure optimized by DFT (PBE) gives the calculated X-ray diffraction stick pattern in this record (copper Kα).

Structural model:
Lattice parameters (Å, degrees): 3.172 3.413 7.351 77.89 86.75 62.33
Atoms (fractional coordinates):
Mn (0.000, 0.000, 0.000)
Se (0.297, 0.464, 0.771)
S (0.852, 0.218, 0.293)
N (0.693, 0.587, 0.097)

Largest 8 diffraction maxima, most intense first, 2θ = 10–80°:
- d = 7.180 Å, intensity 100
- d = 2.556 Å, intensity 42
- d = 2.573 Å, intensity 32
- d = 2.470 Å, intensity 25
- d = 2.082 Å, intensity 18
- d = 2.777 Å, intensity 17
- d = 2.958 Å, intensity 14
- d = 1.695 Å, intensity 12

(4)
For Mg7Si4, a structure optimized by DFT (PBE) gives the calculated X-ray diffraction stick pattern in this record (copper Kα).

Structural model:
Lattice parameters (Å, degrees): 4.485 6.265 15.878 82.91 82.06 89.97
Atoms (fractional coordinates):
Mg (0.000, 0.000, 0.000)
Mg (0.002, 0.496, 0.996)
Mg (0.157, 0.366, 0.679)
Mg (0.175, 0.875, 0.647)
Mg (0.265, 0.445, 0.467)
Mg (0.278, 0.957, 0.433)
Mg (0.361, 0.380, 0.278)
Mg (0.443, 0.713, 0.113)
Mg (0.452, 0.215, 0.100)
Mg (0.546, 0.784, 0.906)
Mg (0.560, 0.297, 0.875)
Mg (0.718, 0.160, 0.560)
Mg (0.723, 0.668, 0.549)
Mg (0.840, 0.688, 0.323)
Si (0.085, 0.017, 0.822)
Si (0.087, 0.612, 0.823)
Si (0.374, 0.932, 0.253)
Si (0.631, 0.045, 0.733)
Si (0.634, 0.647, 0.730)
Si (0.804, 0.268, 0.389)
Si (0.872, 0.102, 0.257)
Si (0.916, 0.446, 0.168)

Largest 8 diffraction maxima, most intense first, 2θ = 10–80°:
- d = 2.242 Å, intensity 100
- d = 2.401 Å, intensity 66
- d = 2.394 Å, intensity 66
- d = 2.542 Å, intensity 60
- d = 2.527 Å, intensity 50
- d = 2.524 Å, intensity 46
- d = 7.802 Å, intensity 45
- d = 2.296 Å, intensity 45

(5)
For Ac4Pr3ThS8, a structure optimized by DFT (PBE) gives the calculated X-ray diffraction stick pattern in this record (copper Kα).

Structural model:
Lattice parameters (Å, degrees): 8.405 8.405 8.405 59.78 59.78 59.78
Atoms (fractional coordinates):
Ac (0.000, 0.000, 0.000)
Ac (0.000, 0.500, 0.500)
Ac (0.500, 0.000, 0.500)
Ac (0.500, 0.500, 0.000)
Pr (0.000, 0.000, 0.500)
Pr (0.000, 0.500, 0.000)
Pr (0.500, 0.000, 0.000)
Th (0.500, 0.500, 0.500)
S (0.246, 0.246, 0.246)
S (0.248, 0.743, 0.743)
S (0.257, 0.257, 0.752)
S (0.257, 0.752, 0.257)
S (0.743, 0.248, 0.743)
S (0.743, 0.743, 0.248)
S (0.752, 0.257, 0.257)
S (0.754, 0.754, 0.754)

Largest 8 diffraction maxima, most intense first, 2θ = 10–80°:
- d = 2.966 Å, intensity 100
- d = 3.421 Å, intensity 70
- d = 2.101 Å, intensity 37
- d = 2.094 Å, intensity 37
- d = 1.788 Å, intensity 36
- d = 3.437 Å, intensity 24
- d = 1.711 Å, intensity 20
- d = 1.325 Å, intensity 17

(6)
For La2Fe2S5, a structure optimized by DFT (PBE) gives the calculated X-ray diffraction stick pattern in this record (copper Kα).

Structural model:
Lattice parameters (Å, degrees): 8.539 8.539 10.910 90.00 90.00 153.19
Atoms (fractional coordinates):
La (0.112, 0.888, 0.500)
La (0.127, 0.873, 0.882)
La (0.873, 0.127, 0.382)
La (0.888, 0.112, 0.000)
Fe (0.195, 0.805, 0.191)
Fe (0.402, 0.598, 0.666)
Fe (0.598, 0.402, 0.166)
Fe (0.805, 0.195, 0.691)
S (0.039, 0.961, 0.242)
S (0.293, 0.707, 0.538)
S (0.311, 0.689, 0.836)
S (0.345, 0.655, 0.190)
S (0.482, 0.518, 0.491)
S (0.518, 0.482, 0.991)
S (0.655, 0.345, 0.690)
S (0.689, 0.311, 0.336)
S (0.707, 0.293, 0.038)
S (0.961, 0.039, 0.742)

Largest 8 diffraction maxima, most intense first, 2θ = 10–80°:
- d = 2.644 Å, intensity 100
- d = 2.306 Å, intensity 84
- d = 3.331 Å, intensity 79
- d = 4.153 Å, intensity 65
- d = 1.980 Å, intensity 39
- d = 3.146 Å, intensity 38
- d = 1.806 Å, intensity 37
- d = 2.773 Å, intensity 32

(7)
For Pr2Ge3, a structure optimized by DFT (PBE) gives the calculated X-ray diffraction stick pattern in this record (copper Kα).

Structural model:
Lattice parameters (Å, degrees): 7.840 7.840 7.840 149.61 148.48 44.36
Atoms (fractional coordinates):
Pr (0.000, 0.000, 0.000)
Pr (0.754, 0.254, 0.500)
Ge (0.319, 0.819, 0.500)
Ge (0.426, 0.426, 0.000)
Ge (0.597, 0.597, 0.000)

Largest 8 diffraction maxima, most intense first, 2θ = 10–80°:
- d = 2.739 Å, intensity 100
- d = 2.372 Å, intensity 30
- d = 3.197 Å, intensity 27
- d = 2.129 Å, intensity 19
- d = 1.584 Å, intensity 17
- d = 2.055 Å, intensity 17
- d = 2.399 Å, intensity 14
- d = 3.630 Å, intensity 13